Entry 1:
Diffraction record for MgFeTe3Au. The XRD peak list is theoretical, not measured: it uses a PBE-relaxed structure and CuKα.
Kinematic intensities with the Lorentz-polarization factor, no thermal factor.

Structural model:
```
data_MgFeTe3Au
_space_group_name_H-M_alt 'C m c m'
_space_group_IT_number 63
_space_group_name_Hall '-C 2c 2'
_cell_length_a 3.674
_cell_length_b 14.604
_cell_length_c 10.877
_cell_angle_alpha 90.00
_cell_angle_beta 90.00
_cell_angle_gamma 90.00
loop_
_atom_site_label
_atom_site_type_symbol
_atom_site_fract_x
_atom_site_fract_y
_atom_site_fract_z
_atom_site_occupancy
Mg1 Mg 0.000 0.196 0.250 1
Fe1 Fe 0.000 0.500 0.000 1
Te1 Te 0.000 0.127 0.510 1
Te2 Te 0.000 0.463 0.750 1
Au1 Au 0.000 0.164 0.750 1
```

Top 10 peaks for 15 to 90 degrees two-theta, in order of rising 2θ:
2θ/deg	Rel. int.	h k l
24.38	13.5	0 4 0
25.74	28.2	0 4 1
26.32	31.7	1 1 1
30.48	100.0	1 3 0
32.94	55.3	0 0 4
42.91	20.2	1 5 2
45.49	64.7	1 3 4
49.62	17.7	2 0 0
56.74	20.5	1 7 3
60.85	18.6	2 0 4

---

Entry 2:
Diffraction record for NpFeAu. The XRD peak list is theoretical, not measured: it uses a PBE-relaxed structure and CuKα.
Kinematic intensities with the Lorentz-polarization factor, no thermal factor.

Structural model:
```
data_NpFeAu
_space_group_name_H-M_alt 'F -4 3 m'
_space_group_IT_number 216
_space_group_name_Hall 'F -4 2 3'
_cell_length_a 6.118
_cell_length_b 6.118
_cell_length_c 6.118
_cell_angle_alpha 90.00
_cell_angle_beta 90.00
_cell_angle_gamma 90.00
loop_
_atom_site_label
_atom_site_type_symbol
_atom_site_fract_x
_atom_site_fract_y
_atom_site_fract_z
_atom_site_occupancy
Np1 Np 0.000 0.000 0.000 1
Fe1 Fe 0.250 0.250 0.250 1
Au1 Au 0.000 0.000 0.500 1
```

Top 10 peaks for 15 to 90 degrees two-theta, in order of rising 2θ:
2θ/deg	Rel. int.	h k l
25.21	5.0	1 1 1
29.19	73.7	2 0 0
41.76	100.0	2 2 0
49.41	2.3	3 1 1
51.76	21.2	2 2 2
60.53	16.8	4 0 0
66.63	0.9	3 3 1
68.60	28.2	4 2 0
76.24	34.7	4 2 2
81.80	0.6	5 1 1

---

Entry 3:
Diffraction record for YFePbAu. The XRD peak list is theoretical, not measured: it uses a PBE-relaxed structure and CuKα.
Kinematic intensities with the Lorentz-polarization factor, no thermal factor.

Structural model:
```
data_YFePbAu
_space_group_name_H-M_alt 'F -4 3 m'
_space_group_IT_number 216
_space_group_name_Hall 'F -4 2 3'
_cell_length_a 6.897
_cell_length_b 6.897
_cell_length_c 6.897
_cell_angle_alpha 90.00
_cell_angle_beta 90.00
_cell_angle_gamma 90.00
loop_
_atom_site_label
_atom_site_type_symbol
_atom_site_fract_x
_atom_site_fract_y
_atom_site_fract_z
_atom_site_occupancy
Y1 Y 0.000 0.000 0.000 1
Fe1 Fe 0.000 0.000 0.500 1
Pb1 Pb 0.250 0.250 0.250 1
Au1 Au 0.250 0.250 0.750 1
```

Top 10 peaks for 15 to 90 degrees two-theta, in order of rising 2θ:
2θ/deg	Rel. int.	h k l
22.33	0.8	1 1 1
25.84	25.2	2 0 0
36.86	100.0	2 2 0
45.56	8.0	2 2 2
53.12	17.5	4 0 0
59.99	11.1	4 2 0
66.41	35.8	4 2 2
78.45	11.3	4 4 0
84.24	6.0	6 0 0
89.98	16.9	6 2 0

---

Entry 4:
Diffraction record for FeSnPdAu. The XRD peak list is theoretical, not measured: it uses a PBE-relaxed structure and CuKα.
Kinematic intensities with the Lorentz-polarization factor, no thermal factor.

Structural model:
```
data_FeSnPdAu
_space_group_name_H-M_alt 'F -4 3 m'
_space_group_IT_number 216
_space_group_name_Hall 'F -4 2 3'
_cell_length_a 6.444
_cell_length_b 6.444
_cell_length_c 6.444
_cell_angle_alpha 90.00
_cell_angle_beta 90.00
_cell_angle_gamma 90.00
loop_
_atom_site_label
_atom_site_type_symbol
_atom_site_fract_x
_atom_site_fract_y
_atom_site_fract_z
_atom_site_occupancy
Fe1 Fe 0.000 0.000 0.000 1
Sn1 Sn 0.250 0.250 0.750 1
Pd1 Pd 0.000 0.000 0.500 1
Au1 Au 0.250 0.250 0.250 1
```

Top 10 peaks for 15 to 90 degrees two-theta, in order of rising 2θ:
2θ/deg	Rel. int.	h k l
23.92	8.4	1 1 1
27.69	12.0	2 0 0
39.56	100.0	2 2 0
46.76	4.4	3 1 1
48.97	3.8	2 2 2
57.18	17.0	4 0 0
62.86	1.8	3 3 1
64.69	5.3	4 2 0
71.76	34.7	4 2 2
85.18	11.3	4 4 0

---

Entry 5:
Diffraction record for FeSiPtAu. The XRD peak list is theoretical, not measured: it uses a PBE-relaxed structure and CuKα.
Kinematic intensities with the Lorentz-polarization factor, no thermal factor.

Structural model:
```
data_FeSiPtAu
_space_group_name_H-M_alt 'F -4 3 m'
_space_group_IT_number 216
_space_group_name_Hall 'F -4 2 3'
_cell_length_a 6.234
_cell_length_b 6.234
_cell_length_c 6.234
_cell_angle_alpha 90.00
_cell_angle_beta 90.00
_cell_angle_gamma 90.00
loop_
_atom_site_label
_atom_site_type_symbol
_atom_site_fract_x
_atom_site_fract_y
_atom_site_fract_z
_atom_site_occupancy
Fe1 Fe 0.000 0.000 0.000 1
Si1 Si 0.250 0.250 0.750 1
Pt1 Pt 0.250 0.250 0.250 1
Au1 Au 0.000 0.000 0.500 1
```

Top 9 peaks for 15 to 90 degrees two-theta, in order of rising 2θ:
2θ/deg	Rel. int.	h k l
24.74	48.6	1 1 1
28.64	0.8	2 0 0
40.95	100.0	2 2 0
48.43	25.7	3 1 1
59.29	16.8	4 0 0
65.24	10.8	3 3 1
74.58	34.4	4 2 2
79.97	8.4	5 1 1
88.78	11.5	4 4 0

---

Entry 6:
Diffraction record for Tb2Fe6Si4Au. The XRD peak list is theoretical, not measured: it uses a PBE-relaxed structure and CuKα.
Kinematic intensities with the Lorentz-polarization factor, no thermal factor.

Structural model:
```
data_Tb2Fe6Si4Au
_space_group_name_H-M_alt 'R -3 m'
_space_group_IT_number 166
_space_group_name_Hall '-R 3 2"'
_cell_length_a 3.7742
_cell_length_b 3.7742
_cell_length_c 53.3879
_cell_angle_alpha 90.00
_cell_angle_beta 90.00
_cell_angle_gamma 120.00
loop_
_atom_site_label
_atom_site_type_symbol
_atom_site_fract_x
_atom_site_fract_y
_atom_site_fract_z
_atom_site_occupancy
Tb1 Tb 0.0000 0.0000 0.0626 1
Fe1 Fe 0.0000 0.0000 0.1924 1
Fe2 Fe 0.0000 0.0000 0.3172 1
Fe3 Fe 0.0000 0.0000 0.4486 1
Si1 Si 0.0000 0.0000 0.2353 1
Si2 Si 0.0000 0.0000 0.3598 1
Au1 Au 0.0000 0.0000 0.5000 1
```

Top 10 peaks for 15 to 90 degrees two-theta, in order of rising 2θ:
2θ/deg	Rel. int.	h k l
27.49	30.5	0 1 2
28.11	20.1	1 0 4
28.56	23.8	0 1 5
29.74	100.0	1 0 7
30.45	41.2	0 1 8
38.56	99.9	1 0 16
48.08	46.7	0 1 23
48.22	81.5	1 1 0
63.37	22.5	0 2 16
83.43	20.7	2 1 16

---

Entry 7:
Diffraction record for TbFeSi2Au. The XRD peak list is theoretical, not measured: it uses a PBE-relaxed structure and CuKα.
Kinematic intensities with the Lorentz-polarization factor, no thermal factor.

Structural model:
```
data_TbFeSi2Au
_space_group_name_H-M_alt 'I -4 m 2'
_space_group_IT_number 119
_space_group_name_Hall 'I -4 -2'
_cell_length_a 4.096
_cell_length_b 4.096
_cell_length_c 10.084
_cell_angle_alpha 90.00
_cell_angle_beta 90.00
_cell_angle_gamma 90.00
loop_
_atom_site_label
_atom_site_type_symbol
_atom_site_fract_x
_atom_site_fract_y
_atom_site_fract_z
_atom_site_occupancy
Tb1 Tb 0.000 0.000 0.000 1
Fe1 Fe 0.000 0.500 0.250 1
Si1 Si 0.000 0.000 0.383 1
Au1 Au 0.000 0.500 0.750 1
```

Top 10 peaks for 15 to 90 degrees two-theta, in order of rising 2θ:
2θ/deg	Rel. int.	h k l
23.44	51.7	1 0 1
34.52	34.8	1 0 3
35.61	18.4	0 0 4
35.75	100.0	1 1 2
44.22	34.6	2 0 0
50.64	14.3	2 1 1
57.27	16.6	2 1 3
58.02	18.1	2 0 4
64.06	16.4	1 1 6
75.80	30.6	3 1 2

---

Entry 8:
Diffraction record for ZrFeSiAu. The XRD peak list is theoretical, not measured: it uses a PBE-relaxed structure and CuKα.
Kinematic intensities with the Lorentz-polarization factor, no thermal factor.

Structural model:
```
data_ZrFeSiAu
_space_group_name_H-M_alt 'F -4 3 m'
_space_group_IT_number 216
_space_group_name_Hall 'F -4 2 3'
_cell_length_a 6.418
_cell_length_b 6.418
_cell_length_c 6.418
_cell_angle_alpha 90.00
_cell_angle_beta 90.00
_cell_angle_gamma 90.00
loop_
_atom_site_label
_atom_site_type_symbol
_atom_site_fract_x
_atom_site_fract_y
_atom_site_fract_z
_atom_site_occupancy
Zr1 Zr 0.000 0.000 0.000 1
Fe1 Fe 0.000 0.000 0.500 1
Si1 Si 0.250 0.250 0.250 1
Au1 Au 0.250 0.250 0.750 1
```

Top 10 peaks for 15 to 90 degrees two-theta, in order of rising 2θ:
2θ/deg	Rel. int.	h k l
24.02	49.7	1 1 1
27.80	4.7	2 0 0
39.73	100.0	2 2 0
46.96	26.6	3 1 1
57.44	16.7	4 0 0
63.15	11.1	3 3 1
64.99	2.3	4 2 0
72.10	33.7	4 2 2
77.25	8.5	5 1 1
85.62	10.9	4 4 0